1.
LaCdSe: calculated X-ray powder pattern (λ = 1.5418 Å (Cu Kα)), based on DFT lattice parameters and positions (GGA-PBE).
Intensities are scaled so that the largest is 100.

The 8 most intense peaks (10° ≤ 2θ ≤ 80°), low angle first:
2θ 20.8, d = 4.278 Å, I = 22; 2θ 25.2, d = 3.539 Å, I = 18; 2θ 27.5, d = 3.245 Å, I = 22; 2θ 33.0, d = 2.718 Å, I = 67; 2θ 35.8, d = 2.509 Å, I = 100; 2θ 49.5, d = 1.842 Å, I = 54; 2θ 62.5, d = 1.486 Å, I = 20; 2θ 64.3, d = 1.449 Å, I = 17

Cell and atoms:
a b c (Å): 8.629 8.629 8.629
angles (deg): 33.81 33.81 33.81
Element x y z (fractional)
1 La 0.087 0.087 0.087
2 La 0.913 0.913 0.913
3 Cd 0.333 0.333 0.333
4 Cd 0.667 0.667 0.667
5 Se 0.214 0.214 0.214
6 Se 0.786 0.786 0.786

***

2.
La2TmCdSe5: calculated X-ray powder pattern (λ = 1.5418 Å (Cu Kα)), based on DFT lattice parameters and positions (GGA-PBE).
Intensities are scaled so that the largest is 100.

The 8 most intense peaks (10° ≤ 2θ ≤ 80°), low angle first:
2θ 23.1, d = 3.848 Å, I = 21; 2θ 26.1, d = 3.408 Å, I = 34; 2θ 30.5, d = 2.931 Å, I = 100; 2θ 30.9, d = 2.898 Å, I = 59; 2θ 36.0, d = 2.491 Å, I = 41; 2θ 39.4, d = 2.284 Å, I = 21; 2θ 43.7, d = 2.073 Å, I = 42; 2θ 54.4, d = 1.686 Å, I = 23

Cell and atoms:
a b c (Å): 9.165 9.165 12.790
angles (deg): 90.00 90.00 153.86
Element x y z (fractional)
1 La 0.115 0.885 0.500
2 La 0.134 0.866 0.125
3 La 0.866 0.134 0.625
4 La 0.885 0.115 0.000
5 Tm 0.203 0.797 0.828
6 Tm 0.797 0.203 0.328
7 Cd 0.456 0.544 0.270
8 Cd 0.544 0.456 0.770
9 Se 0.050 0.950 0.890
10 Se 0.287 0.713 0.481
11 Se 0.309 0.691 0.173
12 Se 0.360 0.640 0.817
13 Se 0.494 0.506 0.582
14 Se 0.506 0.494 0.082
15 Se 0.640 0.360 0.317
16 Se 0.691 0.309 0.673
17 Se 0.713 0.287 0.981
18 Se 0.950 0.050 0.390

***

3.
La5Sm4Cd: calculated X-ray powder pattern (λ = 1.5418 Å (Cu Kα)), based on DFT lattice parameters and positions (GGA-PBE).
Intensities are scaled so that the largest is 100.

The 8 most intense peaks (10° ≤ 2θ ≤ 80°), low angle first:
2θ 30.0, d = 2.983 Å, I = 100; 2θ 33.9, d = 2.648 Å, I = 39; 2θ 36.4, d = 2.468 Å, I = 12; 2θ 48.6, d = 1.872 Å, I = 14; 2θ 50.6, d = 1.805 Å, I = 19; 2θ 58.2, d = 1.586 Å, I = 30; 2θ 61.6, d = 1.506 Å, I = 7; 2θ 62.2, d = 1.492 Å, I = 10

Cell and atoms:
a b c (Å): 3.744 3.744 24.682
angles (deg): 90.00 90.00 90.00
Element x y z (fractional)
1 La 0.000 0.000 0.000
2 La 0.000 0.000 0.207
3 La 0.000 0.000 0.413
4 La 0.000 0.000 0.587
5 La 0.000 0.000 0.793
6 Sm 0.500 0.500 0.103
7 Sm 0.500 0.500 0.309
8 Sm 0.500 0.500 0.691
9 Sm 0.500 0.500 0.897
10 Cd 0.500 0.500 0.500

***

4.
LaSmCd17: calculated X-ray powder pattern (λ = 1.5418 Å (Cu Kα)), based on DFT lattice parameters and positions (GGA-PBE).
Intensities are scaled so that the largest is 100.

The 8 most intense peaks (10° ≤ 2θ ≤ 80°), low angle first:
2θ 30.6, d = 2.920 Å, I = 34; 2θ 31.4, d = 2.850 Å, I = 23; 2θ 35.5, d = 2.529 Å, I = 48; 2θ 35.6, d = 2.522 Å, I = 100; 2θ 35.9, d = 2.501 Å, I = 31; 2θ 36.3, d = 2.476 Å, I = 28; 2θ 39.9, d = 2.257 Å, I = 50; 2θ 64.3, d = 1.448 Å, I = 20

Cell and atoms:
a b c (Å): 7.690 7.690 7.690
angles (deg): 82.26 82.26 82.26
Element x y z (fractional)
1 La 0.000 0.000 0.000
2 Sm 0.662 0.662 0.662
3 Cd 0.032 0.335 0.632
4 Cd 0.032 0.632 0.335
5 Cd 0.197 0.683 0.683
6 Cd 0.238 0.238 0.238
7 Cd 0.318 0.318 0.850
8 Cd 0.318 0.850 0.318
9 Cd 0.335 0.032 0.632
10 Cd 0.335 0.632 0.032
11 Cd 0.437 0.437 0.437
12 Cd 0.523 0.963 0.963
13 Cd 0.632 0.032 0.335
14 Cd 0.632 0.335 0.032
15 Cd 0.683 0.197 0.683
16 Cd 0.683 0.683 0.197
17 Cd 0.850 0.318 0.318
18 Cd 0.963 0.523 0.963
19 Cd 0.963 0.963 0.523

***

5.
La7Sm12Cd: calculated X-ray powder pattern (λ = 1.5418 Å (Cu Kα)), based on DFT lattice parameters and positions (GGA-PBE).
Intensities are scaled so that the largest is 100.

The 8 most intense peaks (10° ≤ 2θ ≤ 80°), low angle first:
2θ 29.7, d = 3.006 Å, I = 30; 2θ 30.1, d = 2.967 Å, I = 30; 2θ 30.3, d = 2.948 Å, I = 100; 2θ 31.7, d = 2.827 Å, I = 70; 2θ 31.9, d = 2.802 Å, I = 49; 2θ 33.1, d = 2.709 Å, I = 23; 2θ 52.3, d = 1.750 Å, I = 16; 2θ 52.8, d = 1.734 Å, I = 19

Cell and atoms:
a b c (Å): 8.902 8.902 8.902
angles (deg): 89.16 89.16 89.16
Element x y z (fractional)
1 La 0.000 0.000 0.000
2 La 0.119 0.274 0.711
3 La 0.274 0.711 0.119
4 La 0.289 0.881 0.726
5 La 0.711 0.119 0.274
6 La 0.726 0.289 0.881
7 La 0.881 0.726 0.289
8 Sm 0.040 0.378 0.158
9 Sm 0.158 0.040 0.378
10 Sm 0.169 0.611 0.492
11 Sm 0.378 0.158 0.040
12 Sm 0.389 0.508 0.831
13 Sm 0.492 0.169 0.611
14 Sm 0.508 0.831 0.389
15 Sm 0.611 0.492 0.169
16 Sm 0.622 0.842 0.960
17 Sm 0.831 0.389 0.508
18 Sm 0.842 0.960 0.622
19 Sm 0.960 0.622 0.842
20 Cd 0.500 0.500 0.500

***

6.
La8Sm3Cd: calculated X-ray powder pattern (λ = 1.5418 Å (Cu Kα)), based on DFT lattice parameters and positions (GGA-PBE).
Intensities are scaled so that the largest is 100.

The 8 most intense peaks (10° ≤ 2θ ≤ 80°), low angle first:
2θ 29.9, d = 2.988 Å, I = 100; 2θ 34.4, d = 2.607 Å, I = 17; 2θ 34.6, d = 2.590 Å, I = 17; 2θ 35.0, d = 2.565 Å, I = 16; 2θ 49.6, d = 1.837 Å, I = 12; 2θ 58.9, d = 1.569 Å, I = 15; 2θ 59.2, d = 1.561 Å, I = 14; 2θ 59.6, d = 1.550 Å, I = 13

Cell and atoms:
a b c (Å): 9.660 9.660 10.260
angles (deg): 121.95 121.95 31.32
Element x y z (fractional)
1 La 0.000 0.000 0.000
2 La 0.165 0.165 0.423
3 La 0.336 0.336 0.837
4 La 0.500 0.500 0.255
5 La 0.661 0.661 0.676
6 La 0.663 0.663 0.157
7 La 0.829 0.829 0.582
8 La 0.836 0.836 0.095
9 Sm 0.171 0.171 0.926
10 Sm 0.337 0.337 0.346
11 Sm 0.999 0.999 0.511
12 Cd 0.498 0.498 0.747

***

7.
LaSm6Cd: calculated X-ray powder pattern (λ = 1.5418 Å (Cu Kα)), based on DFT lattice parameters and positions (GGA-PBE).
Intensities are scaled so that the largest is 100.

The 8 most intense peaks (10° ≤ 2θ ≤ 80°), low angle first:
2θ 30.6, d = 2.922 Å, I = 100; 2θ 34.5, d = 2.601 Å, I = 18; 2θ 36.0, d = 2.497 Å, I = 33; 2θ 50.7, d = 1.801 Å, I = 24; 2θ 51.8, d = 1.766 Å, I = 11; 2θ 59.4, d = 1.557 Å, I = 15; 2θ 61.3, d = 1.511 Å, I = 27; 2θ 63.7, d = 1.461 Å, I = 12

Cell and atoms:
a b c (Å): 4.995 4.995 20.808
angles (deg): 90.00 90.00 90.00
Element x y z (fractional)
1 La 0.000 0.000 0.000
2 La 0.500 0.500 0.500
3 Sm 0.000 0.000 0.247
4 Sm 0.000 0.000 0.753
5 Sm 0.000 0.500 0.124
6 Sm 0.000 0.500 0.376
7 Sm 0.000 0.500 0.624
8 Sm 0.000 0.500 0.876
9 Sm 0.500 0.000 0.124
10 Sm 0.500 0.000 0.376
11 Sm 0.500 0.000 0.624
12 Sm 0.500 0.000 0.876
13 Sm 0.500 0.500 0.253
14 Sm 0.500 0.500 0.747
15 Cd 0.000 0.000 0.500
16 Cd 0.500 0.500 0.000

***

8.
LaSm2Cd5: calculated X-ray powder pattern (λ = 1.5418 Å (Cu Kα)), based on DFT lattice parameters and positions (GGA-PBE).
Intensities are scaled so that the largest is 100.

The 8 most intense peaks (10° ≤ 2θ ≤ 80°), low angle first:
2θ 33.5, d = 2.676 Å, I = 100; 2θ 34.0, d = 2.640 Å, I = 51; 2θ 47.4, d = 1.918 Å, I = 8; 2θ 48.8, d = 1.867 Å, I = 18; 2θ 59.6, d = 1.552 Å, I = 16; 2θ 60.5, d = 1.531 Å, I = 35; 2θ 70.4, d = 1.338 Å, I = 9; 2θ 71.5, d = 1.320 Å, I = 6

Cell and atoms:
a b c (Å): 5.281 5.281 15.342
angles (deg): 90.00 90.00 90.00
Element x y z (fractional)
1 La 0.000 0.000 0.000
2 La 0.500 0.500 0.500
3 Sm 0.000 0.000 0.266
4 Sm 0.000 0.000 0.734
5 Sm 0.500 0.500 0.234
6 Sm 0.500 0.500 0.766
7 Cd 0.000 0.000 0.500
8 Cd 0.000 0.500 0.122
9 Cd 0.000 0.500 0.378
10 Cd 0.000 0.500 0.622
11 Cd 0.000 0.500 0.878
12 Cd 0.500 0.000 0.122
13 Cd 0.500 0.000 0.378
14 Cd 0.500 0.000 0.622
15 Cd 0.500 0.000 0.878
16 Cd 0.500 0.500 0.000

***

9.
La4SmCd3: calculated X-ray powder pattern (λ = 1.5418 Å (Cu Kα)), based on DFT lattice parameters and positions (GGA-PBE).
Intensities are scaled so that the largest is 100.

The 8 most intense peaks (10° ≤ 2θ ≤ 80°), low angle first:
2θ 31.7, d = 2.826 Å, I = 98; 2θ 32.0, d = 2.799 Å, I = 100; 2θ 45.6, d = 1.989 Å, I = 35; 2θ 56.2, d = 1.637 Å, I = 17; 2θ 56.8, d = 1.621 Å, I = 37; 2θ 57.0, d = 1.616 Å, I = 19; 2θ 75.3, d = 1.262 Å, I = 14; 2θ 75.9, d = 1.254 Å, I = 15

Cell and atoms:
a b c (Å): 9.824 9.824 9.824
angles (deg): 33.11 33.11 33.11
Element x y z (fractional)
1 La 0.120 0.120 0.120
2 La 0.372 0.372 0.372
3 La 0.628 0.628 0.628
4 La 0.880 0.880 0.880
5 Sm 0.500 0.500 0.500
6 Cd 0.000 0.000 0.000
7 Cd 0.244 0.244 0.244
8 Cd 0.756 0.756 0.756

***

10.
La5Sm8Cd: calculated X-ray powder pattern (λ = 1.5418 Å (Cu Kα)), based on DFT lattice parameters and positions (GGA-PBE).
Intensities are scaled so that the largest is 100.

The 8 most intense peaks (10° ≤ 2θ ≤ 80°), low angle first:
2θ 26.7, d = 3.336 Å, I = 81; 2θ 30.9, d = 2.895 Å, I = 100; 2θ 31.0, d = 2.882 Å, I = 50; 2θ 31.4, d = 2.852 Å, I = 80; 2θ 32.5, d = 2.752 Å, I = 48; 2θ 32.7, d = 2.742 Å, I = 62; 2θ 32.8, d = 2.733 Å, I = 94; 2θ 34.0, d = 2.634 Å, I = 49

Cell and atoms:
a b c (Å): 8.600 8.600 8.036
angles (deg): 115.40 115.40 79.58
Element x y z (fractional)
1 La 0.000 0.000 0.000
2 La 0.094 0.441 0.434
3 La 0.326 0.326 0.986
4 La 0.441 0.094 0.434
5 La 0.519 0.519 0.556
6 Sm 0.034 0.034 0.599
7 Sm 0.197 0.738 0.287
8 Sm 0.337 0.738 0.924
9 Sm 0.529 0.950 0.791
10 Sm 0.707 0.707 0.414
11 Sm 0.738 0.197 0.287
12 Sm 0.738 0.337 0.924
13 Sm 0.950 0.529 0.791
14 Cd 0.774 0.774 0.100

***

11.
La2TbSm2Cd: calculated X-ray powder pattern (λ = 1.5418 Å (Cu Kα)), based on DFT lattice parameters and positions (GGA-PBE).
Intensities are scaled so that the largest is 100.

The 8 most intense peaks (10° ≤ 2θ ≤ 80°), low angle first:
2θ 28.3, d = 3.158 Å, I = 10; 2θ 30.7, d = 2.910 Å, I = 100; 2θ 32.2, d = 2.776 Å, I = 73; 2θ 33.6, d = 2.667 Å, I = 16; 2θ 45.1, d = 2.009 Å, I = 26; 2θ 54.6, d = 1.680 Å, I = 14; 2θ 55.6, d = 1.653 Å, I = 24; 2θ 64.5, d = 1.444 Å, I = 10

Cell and atoms:
a b c (Å): 6.651 10.084 5.820
angles (deg): 90.00 90.00 90.00
Element x y z (fractional)
1 La 0.207 0.140 0.000
2 La 0.293 0.640 0.500
3 La 0.707 0.360 0.500
4 La 0.793 0.860 0.000
5 Tb 0.000 0.500 0.000
6 Tb 0.500 0.000 0.500
7 Sm 0.201 0.297 0.500
8 Sm 0.299 0.797 0.000
9 Sm 0.701 0.203 0.000
10 Sm 0.799 0.703 0.500
11 Cd 0.000 0.000 0.500
12 Cd 0.500 0.500 0.000

***

12.
LaSmThCd: calculated X-ray powder pattern (λ = 1.5418 Å (Cu Kα)), based on DFT lattice parameters and positions (GGA-PBE).
Intensities are scaled so that the largest is 100.

The 8 most intense peaks (10° ≤ 2θ ≤ 80°), low angle first:
2θ 31.2, d = 2.866 Å, I = 100; 2θ 34.6, d = 2.589 Å, I = 39; 2θ 39.1, d = 2.304 Å, I = 13; 2θ 49.8, d = 1.831 Å, I = 14; 2θ 53.2, d = 1.721 Å, I = 21; 2θ 60.0, d = 1.543 Å, I = 31; 2θ 65.1, d = 1.433 Å, I = 12; 2θ 66.0, d = 1.416 Å, I = 10

Cell and atoms:
a b c (Å): 3.661 3.661 9.215
angles (deg): 90.00 90.00 90.00
Element x y z (fractional)
1 La 0.000 0.000 0.000
2 Sm 0.000 0.000 0.473
3 Th 0.500 0.500 0.733
4 Cd 0.500 0.500 0.247

***

13.
La5SmTlCd2: calculated X-ray powder pattern (λ = 1.5418 Å (Cu Kα)), based on DFT lattice parameters and positions (GGA-PBE).
Intensities are scaled so that the largest is 100.

The 8 most intense peaks (10° ≤ 2θ ≤ 80°), low angle first:
2θ 28.7, d = 3.108 Å, I = 31; 2θ 29.0, d = 3.078 Å, I = 100; 2θ 32.1, d = 2.791 Å, I = 34; 2θ 34.1, d = 2.627 Å, I = 11; 2θ 36.6, d = 2.458 Å, I = 21; 2θ 49.4, d = 1.845 Å, I = 18; 2θ 55.3, d = 1.661 Å, I = 18; 2θ 61.2, d = 1.513 Å, I = 9

Cell and atoms:
a b c (Å): 11.306 11.306 11.306
angles (deg): 139.14 139.14 59.17
Element x y z (fractional)
1 La 0.000 0.000 0.000
2 La 0.074 0.574 0.918
3 La 0.156 0.074 0.500
4 La 0.344 0.844 0.918
5 La 0.426 0.344 0.500
6 La 0.500 0.500 0.000
7 La 0.574 0.656 0.500
8 La 0.656 0.156 0.082
9 La 0.844 0.926 0.500
10 La 0.926 0.426 0.082
11 Sm 0.250 0.250 0.000
12 Sm 0.750 0.750 0.000
13 Tl 0.250 0.750 0.500
14 Tl 0.750 0.250 0.500
15 Cd 0.120 0.380 0.500
16 Cd 0.380 0.880 0.261
17 Cd 0.620 0.120 0.739
18 Cd 0.880 0.620 0.500